This entry pairs a crystal structure of Ce2Bi2C with its simulated powder diffractogram. Radiation: Cu Ka. Structure: a crystal structure in Alexandria, relaxed with PBE.

Peak list (10 most intense, 2θ from 10° to 90°, in order of rising 2θ)
2theta  d_spacing  I/Imax
26.64  3.346  43
27.19  3.279  44
28.85  3.095  82
31.14  2.872  83
33.71  2.659  100
39.67  2.272  33
40.06  2.251  35
54.29  1.690  26
57.50  1.603  24
59.98  1.542  37

Structural model:
```
data_Ce2Bi2C
_chemical_formula_sum 'Ce4 Bi4 C2'
_cell_length_a 7.987
_cell_length_b 7.987
_cell_length_c 7.987
_cell_angle_alpha 130.47
_cell_angle_beta 69.59
_cell_angle_gamma 134.40
_space_group_name_H-M_alt 'P 1'
_space_group_IT_number 1
loop_
_space_group_symop_operation_xyz
'x,y,z'
loop_
_atom_site_label
_atom_site_fract_x
_atom_site_fract_y
_atom_site_fract_z
_atom_site_occupancy
Ce1 0.092 0.196 0.288 1
Ce2 0.408 0.696 0.104 1
Ce3 0.592 0.304 0.896 1
Ce4 0.908 0.804 0.712 1
Bi1 0.157 0.674 0.832 1
Bi2 0.343 0.174 0.517 1
Bi3 0.657 0.826 0.483 1
Bi4 0.843 0.326 0.168 1
C1 0.250 0.250 0.000 1
C2 0.750 0.750 0.000 1
```